Record 1
Simulated powder XRD pattern
Compound: PmZnInSn
Radiation: CuKα
Structure: a crystal structure in Alexandria, relaxed with PBE
Peak positions follow from Bragg's law for the DFT cell and can differ from measured ones.

Crystal structure
Unit cell a=4.521 b=4.570 c=4.683 alpha=90.00 beta=90.00 gamma=90.00
Atoms (fractional coordinates):
Pm 0.000 0.000 0.000
Zn 0.500 0.000 0.500
In 0.000 0.500 0.500
Sn 0.500 0.500 0.000

Principal peaks in the range 2θ from 10° to 80°, in order of rising 2θ:
| 2theta | d_spacing | I (rel.) |
| --- | --- | --- |
| 33.8 | 2.650 | 100 |
| 38.4 | 2.341 | 18 |
| 39.4 | 2.285 | 16 |
| 39.9 | 2.261 | 16 |
| 56.3 | 1.635 | 12 |
| 56.6 | 1.626 | 11 |
| 66.6 | 1.404 | 14 |
| 67.9 | 1.380 | 13 |
| 68.6 | 1.369 | 13 |
| 71.2 | 1.325 | 11 |

Record 2
Simulated powder XRD pattern
Compound: Ac2CdGe3
Radiation: CuKα
Structure: a crystal structure in Alexandria, relaxed with PBE
Peak positions follow from Bragg's law for the DFT cell and can differ from measured ones.

Crystal structure
Unit cell a=4.612 b=4.653 c=15.189 alpha=90.00 beta=90.00 gamma=90.00
Atoms (fractional coordinates):
Ac 0.000 0.000 0.000
Ac 0.000 0.500 0.238
Ac 0.500 0.000 0.738
Ac 0.500 0.500 0.500
Cd 0.000 0.000 0.410
Cd 0.500 0.500 0.910
Ge 0.000 0.000 0.583
Ge 0.000 0.500 0.659
Ge 0.000 0.500 0.823
Ge 0.500 0.000 0.159
Ge 0.500 0.000 0.323
Ge 0.500 0.500 0.083

Principal peaks in the range 2θ from 10° to 80°, in order of rising 2θ:
| 2theta | d_spacing | I (rel.) |
| --- | --- | --- |
| 26.0 | 3.426 | 27 |
| 26.1 | 3.410 | 12 |
| 29.7 | 3.008 | 100 |
| 35.3 | 2.539 | 48 |
| 38.7 | 2.326 | 21 |
| 39.1 | 2.306 | 20 |
| 46.2 | 1.965 | 21 |
| 53.4 | 1.715 | 19 |
| 56.2 | 1.638 | 14 |
| 62.0 | 1.496 | 12 |

Record 3
Simulated powder XRD pattern
Compound: Cd5GeBr12
Radiation: CuKα
Structure: a crystal structure in Alexandria, relaxed with PBE
Peak positions follow from Bragg's law for the DFT cell and can differ from measured ones.

Crystal structure
Unit cell a=7.044 b=7.044 c=13.734 alpha=90.05 beta=90.05 gamma=120.12
Atoms (fractional coordinates):
Cd 0.000 0.000 0.000
Cd 0.167 0.833 0.500
Cd 0.333 0.667 0.000
Cd 0.667 0.333 0.000
Cd 0.833 0.167 0.500
Ge 0.500 0.500 0.500
Br 0.001 0.667 0.114
Br 0.164 0.164 0.615
Br 0.164 0.500 0.385
Br 0.333 0.999 0.886
Br 0.334 0.334 0.114
Br 0.500 0.164 0.385
Br 0.500 0.836 0.615
Br 0.666 0.666 0.886
Br 0.667 0.001 0.114
Br 0.836 0.500 0.615
Br 0.836 0.836 0.385
Br 0.999 0.333 0.886

Principal peaks in the range 2θ from 10° to 80°, in order of rising 2θ:
| 2theta | d_spacing | I (rel.) |
| --- | --- | --- |
| 12.9 | 6.867 | 100 |
| 26.2 | 3.407 | 30 |
| 28.5 | 3.133 | 92 |
| 32.1 | 2.791 | 84 |
| 36.6 | 2.456 | 36 |
| 41.7 | 2.166 | 46 |
| 44.5 | 2.035 | 20 |
| 45.1 | 2.009 | 55 |
| 47.4 | 1.919 | 24 |
| 59.0 | 1.567 | 20 |

Record 4
Simulated powder XRD pattern
Compound: Dy4InGa12
Radiation: CuKα
Structure: a crystal structure in Alexandria, relaxed with PBE
Peak positions follow from Bragg's law for the DFT cell and can differ from measured ones.

Crystal structure
Unit cell a=7.631 b=7.631 c=7.631 alpha=109.47 beta=109.47 gamma=109.47
Atoms (fractional coordinates):
Dy 0.000 0.000 0.500
Dy 0.000 0.500 0.000
Dy 0.500 0.000 0.000
Dy 0.500 0.500 0.500
In 0.000 0.000 0.000
Ga 0.000 0.317 0.317
Ga 0.000 0.683 0.683
Ga 0.250 0.500 0.750
Ga 0.250 0.750 0.500
Ga 0.317 0.000 0.317
Ga 0.317 0.317 0.000
Ga 0.500 0.250 0.750
Ga 0.500 0.750 0.250
Ga 0.683 0.000 0.683
Ga 0.683 0.683 0.000
Ga 0.750 0.250 0.500
Ga 0.750 0.500 0.250

Principal peaks in the range 2θ from 10° to 80°, in order of rising 2θ:
| 2theta | d_spacing | I (rel.) |
| --- | --- | --- |
| 28.7 | 3.115 | 52 |
| 35.3 | 2.544 | 100 |
| 38.2 | 2.355 | 19 |
| 41.0 | 2.203 | 68 |
| 43.6 | 2.077 | 11 |
| 48.5 | 1.879 | 15 |
| 50.8 | 1.799 | 11 |
| 59.3 | 1.558 | 36 |
| 67.2 | 1.393 | 18 |
| 70.9 | 1.328 | 26 |

Record 5
Simulated powder XRD pattern
Compound: Ta3NbN
Radiation: CuKα
Structure: a crystal structure in Alexandria, relaxed with PBE
Peak positions follow from Bragg's law for the DFT cell and can differ from measured ones.

Crystal structure
Unit cell a=6.030 b=6.030 c=6.030 alpha=118.78 beta=93.28 gamma=117.47
Atoms (fractional coordinates):
Ta 0.226 0.000 0.726
Ta 0.226 0.500 0.226
Ta 0.280 0.030 0.250
Ta 0.720 0.970 0.750
Ta 0.774 0.000 0.274
Ta 0.774 0.500 0.774
Nb 0.260 0.510 0.750
Nb 0.740 0.490 0.250
N 0.000 0.000 0.000
N 0.500 0.000 0.500

Principal peaks in the range 2θ from 10° to 80°, in order of rising 2θ:
| 2theta | d_spacing | I (rel.) |
| --- | --- | --- |
| 35.5 | 2.525 | 11 |
| 36.0 | 2.497 | 99 |
| 36.4 | 2.466 | 100 |
| 41.2 | 2.192 | 78 |
| 43.7 | 2.070 | 28 |
| 59.0 | 1.565 | 12 |
| 60.3 | 1.535 | 13 |
| 61.6 | 1.505 | 38 |
| 71.4 | 1.321 | 24 |
| 72.2 | 1.308 | 26 |

Record 6
Simulated powder XRD pattern
Compound: GeB3N3
Radiation: CuKα
Structure: a crystal structure in Alexandria, relaxed with PBE
Peak positions follow from Bragg's law for the DFT cell and can differ from measured ones.

Crystal structure
Unit cell a=4.735 b=4.735 c=4.735 alpha=90.00 beta=90.00 gamma=90.00
Atoms (fractional coordinates):
Ge 0.000 0.000 0.000
Ge 0.500 0.500 0.500
B 0.000 0.250 0.500
B 0.000 0.750 0.500
B 0.250 0.500 0.000
B 0.500 0.000 0.250
B 0.500 0.000 0.750
B 0.750 0.500 0.000
N 0.000 0.500 0.250
N 0.000 0.500 0.750
N 0.250 0.000 0.500
N 0.500 0.250 0.000
N 0.500 0.750 0.000
N 0.750 0.000 0.500

Principal peaks in the range 2θ from 10° to 80°, in order of rising 2θ:
| 2theta | d_spacing | I (rel.) |
| --- | --- | --- |
| 26.6 | 3.348 | 71 |
| 38.0 | 2.367 | 48 |
| 42.7 | 2.118 | 2 |
| 47.0 | 1.933 | 100 |
| 54.8 | 1.674 | 12 |
| 62.0 | 1.497 | 16 |
| 68.7 | 1.367 | 1 |
| 75.1 | 1.265 | 45 |

Record 7
Simulated powder XRD pattern
Compound: NbHgBr4
Radiation: CuKα
Structure: a crystal structure in Alexandria, relaxed with PBE
Peak positions follow from Bragg's law for the DFT cell and can differ from measured ones.

Crystal structure
Unit cell a=6.204 b=8.296 c=8.684 alpha=95.88 beta=102.66 gamma=95.67
Atoms (fractional coordinates):
Nb 0.220 0.453 0.093
Nb 0.780 0.547 0.907
Hg 0.248 0.003 0.495
Hg 0.752 0.997 0.505
Br 0.140 0.739 0.002
Br 0.207 0.559 0.367
Br 0.346 0.395 0.821
Br 0.386 0.197 0.182
Br 0.614 0.803 0.818
Br 0.654 0.605 0.179
Br 0.793 0.441 0.633
Br 0.860 0.261 0.998

Principal peaks in the range 2θ from 10° to 80°, in order of rising 2θ:
| 2theta | d_spacing | I (rel.) |
| --- | --- | --- |
| 14.1 | 6.279 | 83 |
| 16.0 | 5.523 | 100 |
| 21.7 | 4.094 | 27 |
| 22.5 | 3.949 | 37 |
| 25.4 | 3.508 | 68 |
| 29.8 | 3.003 | 43 |
| 32.0 | 2.798 | 52 |
| 33.2 | 2.699 | 27 |
| 34.6 | 2.594 | 39 |
| 37.3 | 2.410 | 31 |

Record 8
Simulated powder XRD pattern
Compound: NaUB12
Radiation: CuKα
Structure: a crystal structure in Alexandria, relaxed with PBE
Peak positions follow from Bragg's law for the DFT cell and can differ from measured ones.

Crystal structure
Unit cell a=4.115 b=4.115 c=8.260 alpha=90.00 beta=90.00 gamma=90.00
Atoms (fractional coordinates):
Na 0.000 0.000 0.000
U 0.000 0.000 0.500
B 0.200 0.500 0.253
B 0.200 0.500 0.747
B 0.500 0.200 0.253
B 0.500 0.200 0.747
B 0.500 0.500 0.102
B 0.500 0.500 0.402
B 0.500 0.500 0.598
B 0.500 0.500 0.898
B 0.500 0.800 0.253
B 0.500 0.800 0.747
B 0.800 0.500 0.253
B 0.800 0.500 0.747

Principal peaks in the range 2θ from 10° to 80°, in order of rising 2θ:
| 2theta | d_spacing | I (rel.) |
| --- | --- | --- |
| 10.7 | 8.260 | 100 |
| 21.6 | 4.120 | 53 |
| 24.2 | 3.683 | 64 |
| 30.7 | 2.913 | 93 |
| 32.6 | 2.744 | 31 |
| 37.8 | 2.379 | 40 |
| 39.4 | 2.288 | 19 |
| 45.4 | 1.998 | 26 |
| 49.5 | 1.841 | 31 |
| 68.3 | 1.373 | 25 |

Record 9
Simulated powder XRD pattern
Compound: Tb5Ho3Tm3
Radiation: CuKα
Structure: a crystal structure in Alexandria, relaxed with PBE
Peak positions follow from Bragg's law for the DFT cell and can differ from measured ones.

Crystal structure
Unit cell a=11.017 b=11.017 c=3.414 alpha=90.00 beta=90.00 gamma=120.00
Atoms (fractional coordinates):
Tb 0.000 0.161 0.000
Tb 0.161 0.000 0.000
Tb 0.333 0.667 0.000
Tb 0.667 0.333 0.000
Tb 0.839 0.839 0.000
Ho 0.000 0.658 0.000
Ho 0.342 0.342 0.000
Ho 0.658 0.000 0.000
Tm 0.000 0.407 0.500
Tm 0.407 0.000 0.500
Tm 0.593 0.593 0.500

Principal peaks in the range 2θ from 10° to 80°, in order of rising 2θ:
| 2theta | d_spacing | I (rel.) |
| --- | --- | --- |
| 24.7 | 3.606 | 37 |
| 28.1 | 3.180 | 86 |
| 30.8 | 2.902 | 99 |
| 32.5 | 2.754 | 33 |
| 33.9 | 2.646 | 100 |
| 36.2 | 2.479 | 77 |
| 42.2 | 2.144 | 80 |
| 49.5 | 1.843 | 36 |
| 64.7 | 1.441 | 42 |
| 65.0 | 1.434 | 31 |

Record 10
Simulated powder XRD pattern
Compound: NaMg2In5
Radiation: CuKα
Structure: a crystal structure in Alexandria, relaxed with PBE
Peak positions follow from Bragg's law for the DFT cell and can differ from measured ones.

Crystal structure
Unit cell a=4.596 b=7.981 c=12.256 alpha=90.00 beta=90.00 gamma=90.00
Atoms (fractional coordinates):
Na 0.000 0.000 0.000
Na 0.500 0.500 0.500
Mg 0.000 0.500 0.245
Mg 0.000 0.500 0.755
Mg 0.500 0.000 0.255
Mg 0.500 0.000 0.745
In 0.000 0.198 0.372
In 0.000 0.198 0.628
In 0.000 0.500 0.000
In 0.000 0.802 0.372
In 0.000 0.802 0.628
In 0.500 0.000 0.500
In 0.500 0.302 0.128
In 0.500 0.302 0.872
In 0.500 0.698 0.128
In 0.500 0.698 0.872

Principal peaks in the range 2θ from 10° to 80°, in order of rising 2θ:
| 2theta | d_spacing | I (rel.) |
| --- | --- | --- |
| 13.2 | 6.688 | 87 |
| 20.6 | 4.304 | 27 |
| 29.2 | 3.054 | 81 |
| 30.6 | 2.926 | 100 |
| 37.0 | 2.429 | 97 |
| 39.2 | 2.301 | 78 |
| 41.8 | 2.163 | 26 |
| 55.0 | 1.670 | 42 |
| 69.5 | 1.353 | 21 |
| 74.4 | 1.275 | 22 |